Computed PXRD pattern of BaNdCuBO5 for λ = 1.5418 Å (Cu Kα), from a structure optimized by DFT (GGA-PBE).
Lines closer than 0.1° are merged.

The 6 most intense peaks (2θ from 5° to 70°), by intensity:
2θ 32.66, I 100
2θ 32.23, I 46
2θ 57.74, I 36
2θ 40.11, I 30
2θ 22.64, I 30
2θ 46.22, I 26

Structural model:
```
BaNdCuBO5
1.0
5.5549 0.0000 0.0000
0.0000 5.5549 0.0000
0.0000 0.0000 7.6580
Ba Nd Cu B O
2 2 2 2 10
direct
0.0000 0.0000 0.0000
0.5000 0.5000 0.0000
0.0000 0.0000 0.4923
0.5000 0.5000 0.4923
0.0000 0.5000 0.2716
0.5000 0.0000 0.2716
0.0000 0.5000 0.7515
0.5000 0.0000 0.7515
0.0000 0.5000 0.9337
0.1552 0.3448 0.6637
0.2476 0.7476 0.2866
0.2524 0.2476 0.2866
0.3448 0.8448 0.6637
0.5000 0.0000 0.9337
0.6552 0.1552 0.6637
0.7476 0.7524 0.2866
0.7524 0.2524 0.2866
0.8448 0.6552 0.6637
```

=====

Computed PXRD pattern of ZnBi2P2O10 for λ = 1.5418 Å (Cu Kα), from a structure optimized by DFT (GGA-PBE).
Lines closer than 0.1° are merged.

The 6 most intense peaks (2θ from 5° to 70°), by intensity:
2θ 27.39, I 100
2θ 13.60, I 77
2θ 22.49, I 61
2θ 28.07, I 53
2θ 21.51, I 35
2θ 32.11, I 33

Structural model:
```
ZnBi2P2O10
1.0
0.0000 7.5546 4.2045
7.0332 0.0000 4.2045
7.0332 7.5546 0.0000
Zn Bi P O
2 4 4 20
direct
0.0000 0.0000 0.0000
0.2500 0.2500 0.2500
0.4810 0.5045 0.2782
0.5045 0.4810 0.7363
0.5137 0.9718 0.7455
0.9718 0.5137 0.7690
0.0480 0.6385 0.3301
0.2666 0.9199 0.6115
0.6385 0.0480 0.9834
0.9199 0.2666 0.2020
0.0687 0.6717 0.4527
0.0870 0.8158 0.6694
0.1400 0.3498 0.1014
0.1486 0.8412 0.1100
0.1776 0.4728 0.3056
0.2061 0.9444 0.7772
0.2948 0.4097 0.6094
0.3498 0.1400 0.4088
0.4097 0.2948 0.6862
0.4431 0.7973 0.5783
0.4728 0.1776 0.0439
0.5638 0.6406 0.8403
0.5806 0.8222 0.1630
0.6406 0.5638 0.9552
0.6717 0.0687 0.8069
0.7973 0.4431 0.1813
0.8158 0.0870 0.4278
0.8222 0.5806 0.4342
0.8412 0.1486 0.9002
0.9444 0.2061 0.0724
```

=====

Computed PXRD pattern of CsCdO3 for λ = 1.5418 Å (Cu Kα), from a structure optimized by DFT (GGA-PBE).
Lines closer than 0.1° are merged.

The 6 most intense peaks (2θ from 5° to 70°), by intensity:
2θ 27.78, I 100
2θ 49.15, I 41
2θ 39.70, I 32
2θ 57.39, I 20
2θ 64.94, I 18
2θ 34.20, I 3

Structural model:
```
CsCdO3
1.0
4.5410 0.0000 0.0000
0.0000 4.5410 0.0000
0.0000 0.0000 4.5410
Cs Cd O
1 1 3
direct
0.0000 0.0000 0.0000
0.5000 0.5000 0.5000
0.0000 0.5000 0.5000
0.5000 0.0000 0.5000
0.5000 0.5000 0.0000
```

=====

Computed PXRD pattern of Cu3Te2 for λ = 1.5418 Å (Cu Kα), from a structure optimized by DFT (GGA-PBE).
Lines closer than 0.1° are merged.

The 6 most intense peaks (2θ from 5° to 70°), by intensity:
2θ 43.55, I 100
2θ 26.50, I 63
2θ 44.77, I 53
2θ 34.67, I 51
2θ 31.25, I 22
2θ 52.78, I 19

Structural model:
```
Cu3Te2
1.0
4.0482 0.0000 0.0000
0.0000 4.0482 0.0000
0.0000 0.0000 6.0448
Cu Te
3 2
direct
0.0000 0.0000 0.0000
0.0000 0.5000 0.7193
0.5000 0.0000 0.7193
0.0000 0.0000 0.4458
0.5000 0.5000 0.0207
```